Starting from DFT lattice parameters and positions (PBE+U), the powder XRD pattern of BaPr2Mn3O9 was simulated for Cu Kα, 1.54184 Å.

Cell and atoms:
abc: 9.7141 5.5865 13.7061
angles: 90.00 90.75 90.00
Space group C2/m (No. 12)
Unique sites:
Ba (0.0099, 0.0000, 0.2497) [4 per cell]
Pr (0.1575, 0.5000, 0.5801) [4 per cell]
Pr (0.1774, 0.5000, 0.0747) [4 per cell]
Mn (0.0000, 0.0000, 0.0000) [2 per cell]
Mn (0.0000, 0.0000, 0.5000) [2 per cell]
Mn (0.1595, 0.5000, 0.8298) [4 per cell]
Mn (0.1720, 0.5000, 0.3326) [4 per cell]
O (0.0351, 0.5000, 0.2227) [4 per cell]
O (0.0615, 0.2636, 0.4137) [8 per cell]
O (0.1046, 0.2501, 0.9304) [8 per cell]
O (0.1630, 0.0000, 0.0917) [4 per cell]
O (0.1882, 0.0000, 0.5586) [4 per cell]
O (0.2248, 0.2612, 0.7329) [8 per cell]

Most intense lines, 15° ≤ 2θ ≤ 90°, low angle first:
(hkl)	2θ (°)	Rel. int.
1 1 -2	22.41	21
2 0 -4	31.76	31
3 1 0	31.95	67
0 2 0	32.08	100
2 2 2	39.55	19
2 2 -4	45.74	41
4 0 4	46.10	20
5 1 -4	56.61	13
1 1 -8	56.89	19
4 2 4	57.20	27